Theoretical powder X-ray diffraction pattern
Compound: La2TbPt9
Radiation: CuKα
Structure: the GGA-PBE geometry in Alexandria

Structure:
a = 9.558 Å, b = 9.558 Å, c = 9.558 Å
α = 33.18°, β = 33.18°, γ = 33.18°
Atoms (fractional coordinates):
La 0.139 0.139 0.139
La 0.861 0.861 0.861
Tb 0.000 0.000 0.000
Pt 0.081 0.585 0.585
Pt 0.333 0.333 0.333
Pt 0.415 0.415 0.919
Pt 0.415 0.919 0.415
Pt 0.500 0.500 0.500
Pt 0.585 0.081 0.585
Pt 0.585 0.585 0.081
Pt 0.667 0.667 0.667
Pt 0.919 0.415 0.415

Principal peaks in the range 10° ≤ 2θ ≤ 80°, in order of falling intensity:
2theta  d [Å]  Rel. int.
38.6  2.335  100.0
41.7  2.166  45.2
38.2  2.354  31.3
40.0  2.256  29.3
68.8  1.364  27.6
19.1  4.656  25.5
62.4  1.487  24.8
32.8  2.729  19.2
45.0  2.016  18.7
41.4  2.183  18.3

***

Theoretical powder X-ray diffraction pattern
Compound: Nd4S7
Radiation: CuKα
Structure: the GGA-PBE geometry in Alexandria

Structure:
a = 5.598 Å, b = 5.598 Å, c = 8.119 Å
α = 90.00°, β = 90.00°, γ = 90.00°
Atoms (fractional coordinates):
Nd 0.247 0.247 0.272
Nd 0.247 0.753 0.728
Nd 0.753 0.247 0.728
Nd 0.753 0.753 0.272
S 0.000 0.000 0.000
S 0.000 0.500 0.000
S 0.253 0.253 0.636
S 0.253 0.747 0.364
S 0.500 0.000 0.000
S 0.747 0.253 0.364
S 0.747 0.747 0.636

Principal peaks in the range 10° ≤ 2θ ≤ 80°, in order of falling intensity:
2theta  d [Å]  Rel. int.
25.0  3.558  100.0
39.1  2.304  63.3
40.4  2.234  46.1
32.0  2.799  45.5
21.9  4.059  34.7
45.8  1.979  28.5
52.9  1.730  27.0
62.7  1.481  24.7
33.9  2.646  15.0
51.4  1.779  14.7

***

Theoretical powder X-ray diffraction pattern
Compound: UFe6P2
Radiation: CuKα
Structure: the GGA-PBE geometry in Alexandria

Structure:
a = 3.951 Å, b = 3.951 Å, c = 7.469 Å
α = 90.00°, β = 90.00°, γ = 90.00°
Atoms (fractional coordinates):
U 0.000 0.000 0.000
Fe 0.000 0.000 0.500
Fe 0.000 0.500 0.301
Fe 0.000 0.500 0.699
Fe 0.500 0.000 0.301
Fe 0.500 0.000 0.699
Fe 0.500 0.500 0.500
P 0.500 0.500 0.154
P 0.500 0.500 0.846

Principal peaks in the range 10° ≤ 2θ ≤ 80°, in order of falling intensity:
2theta  d [Å]  Rel. int.
40.3  2.237  100.0
45.9  1.976  52.9
25.5  3.493  45.1
33.0  2.714  40.7
34.3  2.617  28.2
42.9  2.106  26.2
22.5  3.951  21.6
67.0  1.397  20.8
57.7  1.597  17.0
64.7  1.441  15.9

***

Theoretical powder X-ray diffraction pattern
Compound: Pr3GeB2N6
Radiation: CuKα
Structure: the GGA-PBE geometry in Alexandria

Structure:
a = 5.378 Å, b = 5.378 Å, c = 6.443 Å
α = 90.00°, β = 90.00°, γ = 120.00°
Atoms (fractional coordinates):
Pr 0.000 0.000 0.000
Pr 0.333 0.667 0.668
Pr 0.667 0.333 0.332
Ge 0.000 0.000 0.500
B 0.333 0.667 0.272
B 0.667 0.333 0.728
N 0.176 0.352 0.293
N 0.176 0.824 0.293
N 0.352 0.176 0.707
N 0.648 0.824 0.293
N 0.824 0.176 0.707
N 0.824 0.648 0.707

Principal peaks in the range 10° ≤ 2θ ≤ 80°, in order of falling intensity:
2theta  d [Å]  Rel. int.
33.3  2.689  100.0
33.8  2.650  97.2
23.6  3.775  93.9
48.2  1.887  48.1
41.2  2.190  42.2
59.9  1.545  36.5
54.7  1.678  23.4
54.0  1.698  22.4
59.5  1.552  18.9
60.8  1.522  16.9

***

- Number 1 is which compound?
  La2TbPt9